# 1
Structure and computed X-ray diffraction stick pattern of ZrCrAgS4 (the PBE geometry in the Materials Project; Cu Kα (weighted mean of Kα1 and Kα2)).
Intensities are scaled so that the largest is 100.

Structure:
Cell lengths 3.6186, 11.3738, 13.2140 Å; angles 90.00, 90.00, 90.00 degrees
Sites, in units of the cell vectors:
Zr  0.0000  0.1782  0.0000
Zr  0.0000  0.2024  0.5269
Zr  0.5000  0.7976  0.0269
Zr  0.5000  0.8218  0.5000
Cr  0.0000  0.6551  0.3163
Cr  0.0000  0.6866  0.8000
Cr  0.5000  0.3134  0.3000
Cr  0.5000  0.3449  0.8163
Ag  0.0000  0.9999  0.7481
Ag  0.0000  0.5038  0.5956
Ag  0.5000  0.0001  0.2481
Ag  0.5000  0.4962  0.0956
S  0.0000  0.1701  0.3339
S  0.0000  0.2984  0.7019
S  0.0000  0.3838  0.9312
S  0.0000  0.4499  0.2584
S  0.0000  0.6500  0.9774
S  0.0000  0.7662  0.6261
S  0.0000  0.8645  0.3666
S  0.0000  0.9547  0.0711
S  0.5000  0.0453  0.5711
S  0.5000  0.1355  0.8666
S  0.5000  0.2338  0.1261
S  0.5000  0.3500  0.4774
S  0.5000  0.5501  0.7584
S  0.5000  0.6162  0.4312
S  0.5000  0.7016  0.2019
S  0.5000  0.8299  0.8339

Largest 10 diffraction maxima, by intensity, 2θ = 5–70°:
- 27.12 deg, I 100
- 32.99 deg, I 94
- 29.22 deg, I 62
- 20.61 deg, I 54
- 40.94 deg, I 51
- 40.07 deg, I 49
- 34.93 deg, I 45
- 50.44 deg, I 43
- 44.10 deg, I 43
- 34.33 deg, I 39

=====

# 2
Structure and computed X-ray diffraction stick pattern of Nb2Te6I (the PBE geometry in the Materials Project; Cu Kα (weighted mean of Kα1 and Kα2)).
Intensities are scaled so that the largest is 100.

Structure:
Cell lengths 9.3831, 14.2855, 9.8238 Å; angles 90.00, 112.88, 90.00 degrees
Sites, in units of the cell vectors:
Nb  0.0242  0.0245  0.3692
Nb  0.0242  0.4755  0.8692
Nb  0.3246  0.5080  0.3703
Nb  0.3246  0.9920  0.8703
Nb  0.6754  0.0080  0.1297
Nb  0.6754  0.4920  0.6297
Nb  0.9758  0.5245  0.1308
Nb  0.9758  0.9755  0.6308
Te  0.0461  0.0632  0.9093
Te  0.0461  0.4368  0.4093
Te  0.1262  0.6836  0.2708
Te  0.1262  0.8164  0.7708
Te  0.1503  0.1347  0.6437
Te  0.1503  0.3653  0.1437
Te  0.2570  0.5966  0.0894
Te  0.2570  0.9034  0.5894
Te  0.4166  0.5834  0.6611
Te  0.4166  0.9166  0.1611
Te  0.4554  0.1586  0.0278
Te  0.4554  0.3414  0.5278
Te  0.5446  0.6586  0.4722
Te  0.5446  0.8414  0.9722
Te  0.5834  0.0834  0.8389
Te  0.5834  0.4166  0.3389
Te  0.7430  0.0966  0.4106
Te  0.7430  0.4034  0.9106
Te  0.8497  0.6347  0.8563
Te  0.8497  0.8653  0.3563
Te  0.8738  0.1836  0.2292
Te  0.8738  0.3164  0.7292
Te  0.9539  0.5632  0.5907
Te  0.9539  0.9368  0.0907
I  0.3117  0.0795  0.3485
I  0.3117  0.4205  0.8485
I  0.6883  0.5795  0.1515
I  0.6883  0.9205  0.6515

Largest 10 diffraction maxima, by intensity, 2θ = 5–70°:
- 12.39 deg, I 100
- 12.69 deg, I 78
- 30.04 deg, I 69
- 26.82 deg, I 68
- 27.18 deg, I 58
- 30.25 deg, I 55
- 32.24 deg, I 50
- 31.54 deg, I 44
- 35.19 deg, I 35
- 33.53 deg, I 34

=====

# 3
Structure and computed X-ray diffraction stick pattern of Y2Ga3Fe14 (the PBE geometry in the Materials Project; Cu Kα (weighted mean of Kα1 and Kα2)).
Intensities are scaled so that the largest is 100.

Structure:
Cell lengths 8.5632, 8.5632, 8.2382 Å; angles 90.00, 90.00, 120.00 degrees
Sites, in units of the cell vectors:
Y  0.0000  0.0000  0.2500
Y  0.0000  0.0000  0.7500
Y  0.3333  0.6667  0.2500
Y  0.6667  0.3333  0.7500
Ga  0.0000  0.5000  0.0000
Ga  0.0000  0.5000  0.5000
Ga  0.5000  0.0000  0.0000
Ga  0.5000  0.0000  0.5000
Ga  0.5000  0.5000  0.0000
Ga  0.5000  0.5000  0.5000
Fe  0.0296  0.3515  0.7500
Fe  0.0296  0.6781  0.7500
Fe  0.1655  0.3310  0.0135
Fe  0.1655  0.3310  0.4865
Fe  0.1655  0.8345  0.0135
Fe  0.1655  0.8345  0.4865
Fe  0.3219  0.3515  0.7500
Fe  0.3219  0.9704  0.7500
Fe  0.3310  0.1655  0.5135
Fe  0.3310  0.1655  0.9865
Fe  0.3333  0.6667  0.6116
Fe  0.3333  0.6667  0.8884
Fe  0.3515  0.0296  0.2500
Fe  0.3515  0.3219  0.2500
Fe  0.6485  0.6781  0.7500
Fe  0.6485  0.9704  0.7500
Fe  0.6667  0.3333  0.1116
Fe  0.6667  0.3333  0.3884
Fe  0.6690  0.8345  0.0135
Fe  0.6690  0.8345  0.4865
Fe  0.6781  0.0296  0.2500
Fe  0.6781  0.6485  0.2500
Fe  0.8345  0.1655  0.5135
Fe  0.8345  0.1655  0.9865
Fe  0.8345  0.6690  0.5135
Fe  0.8345  0.6690  0.9865
Fe  0.9704  0.3219  0.2500
Fe  0.9704  0.6485  0.2500

Largest 10 diffraction maxima, by intensity, 2θ = 5–70°:
- 42.66 deg, I 100
- 42.21 deg, I 57
- 47.89 deg, I 49
- 36.34 deg, I 33
- 43.96 deg, I 32
- 40.89 deg, I 23
- 30.11 deg, I 18
- 69.73 deg, I 18
- 62.59 deg, I 15
- 49.09 deg, I 11

=====

# 4
Structure and computed X-ray diffraction stick pattern of CeAl3 (the PBE geometry in the Materials Project; Cu Kα (weighted mean of Kα1 and Kα2)).
Intensities are scaled so that the largest is 100.

Structure:
Cell lengths 6.4211, 6.4211, 4.6314 Å; angles 90.00, 90.00, 120.00 degrees
Sites, in units of the cell vectors:
Ce  0.3333  0.6667  0.2500
Ce  0.6667  0.3333  0.7500
Al  0.1447  0.2894  0.7500
Al  0.1447  0.8553  0.7500
Al  0.2894  0.1447  0.2500
Al  0.7106  0.8553  0.7500
Al  0.8553  0.1447  0.2500
Al  0.8553  0.7106  0.2500

Largest 10 diffraction maxima, by intensity, 2θ = 5–70°:
- 37.74 deg, I 100
- 25.02 deg, I 92
- 27.79 deg, I 44
- 32.19 deg, I 26
- 47.51 deg, I 22
- 38.89 deg, I 22
- 15.94 deg, I 21
- 48.47 deg, I 19
- 63.58 deg, I 17
- 57.40 deg, I 17

=====

# 5
Structure and computed X-ray diffraction stick pattern of Mn3SiNi2 (the PBE geometry in the Materials Project; Cu Kα (weighted mean of Kα1 and Kα2)).
Intensities are scaled so that the largest is 100.

Structure:
Cell lengths 7.5576, 7.5576, 7.5576 Å; angles 60.00, 60.00, 60.00 degrees
Sites, in units of the cell vectors:
Mn  0.0655  0.0655  0.6845
Mn  0.0655  0.6845  0.0655
Mn  0.0655  0.6845  0.6845
Mn  0.3155  0.3155  0.9345
Mn  0.3155  0.9345  0.3155
Mn  0.3155  0.9345  0.9345
Mn  0.6845  0.0655  0.0655
Mn  0.6845  0.0655  0.6845
Mn  0.6845  0.6845  0.0655
Mn  0.9345  0.3155  0.3155
Mn  0.9345  0.3155  0.9345
Mn  0.9345  0.9345  0.3155
Si  0.0000  0.5000  0.5000
Si  0.5000  0.0000  0.5000
Si  0.5000  0.5000  0.0000
Si  0.5000  0.5000  0.5000
Ni  0.2889  0.2889  0.2889
Ni  0.2889  0.2889  0.6332
Ni  0.2889  0.6332  0.2889
Ni  0.3668  0.7111  0.7111
Ni  0.6332  0.2889  0.2889
Ni  0.7111  0.3668  0.7111
Ni  0.7111  0.7111  0.3668
Ni  0.7111  0.7111  0.7111

Largest 10 diffraction maxima, by intensity, 2θ = 5–70°:
- 44.02 deg, I 100
- 41.39 deg, I 31
- 48.16 deg, I 19
- 28.94 deg, I 12
- 51.29 deg, I 11
- 67.29 deg, I 6
- 14.35 deg, I 5
- 62.01 deg, I 4
- 36.65 deg, I 3
- 27.68 deg, I 2

=====

# 6
Structure and computed X-ray diffraction stick pattern of ZrSO7 (the PBE geometry in the Materials Project; Cu Kα (weighted mean of Kα1 and Kα2)).
Intensities are scaled so that the largest is 100.

Structure:
Cell lengths 6.7819, 6.7819, 8.4983 Å; angles 93.29, 93.29, 122.17 degrees
Sites, in units of the cell vectors:
Zr  0.0645  0.9355  0.7500
Zr  0.9355  0.0645  0.2500
S  0.3805  0.6195  0.2500
S  0.6195  0.3805  0.7500
O  0.0532  0.9441  0.0239
O  0.0559  0.9468  0.4761
O  0.2189  0.7811  0.7500
O  0.2567  0.6339  0.1092
O  0.2845  0.3644  0.2762
O  0.3644  0.2845  0.7762
O  0.3661  0.7433  0.3908
O  0.6339  0.2567  0.6092
O  0.6356  0.7155  0.2238
O  0.7155  0.6356  0.7238
O  0.7433  0.3661  0.8908
O  0.7811  0.2189  0.2500
O  0.9441  0.0532  0.5239
O  0.9468  0.0559  0.9761

Largest 10 diffraction maxima, by intensity, 2θ = 5–70°:
- 18.27 deg, I 100
- 21.06 deg, I 35
- 15.52 deg, I 35
- 27.39 deg, I 33
- 14.92 deg, I 29
- 32.01 deg, I 26
- 26.35 deg, I 14
- 42.33 deg, I 13
- 35.31 deg, I 11
- 44.37 deg, I 11

=====

# 7
Structure and computed X-ray diffraction stick pattern of Ga9Ni13 (the PBE geometry in the Materials Project; Cu Kα (weighted mean of Kα1 and Kα2)).
Intensities are scaled so that the largest is 100.

Structure:
Cell lengths 6.3537, 6.3537, 8.4768 Å; angles 117.21, 117.21, 76.90 degrees
Sites, in units of the cell vectors:
Ga  0.0000  0.0000  0.0000
Ga  0.2081  0.2081  0.6673
Ga  0.2507  0.6714  0.1910
Ga  0.3286  0.7493  0.8090
Ga  0.3296  0.3296  0.3872
Ga  0.6704  0.6704  0.6128
Ga  0.6714  0.2507  0.1910
Ga  0.7493  0.3286  0.8090
Ga  0.7919  0.7919  0.3327
Ni  0.0000  0.5000  0.5000
Ni  0.0423  0.5652  0.8391
Ni  0.0509  0.0509  0.3212
Ni  0.2401  0.7599  0.5000
Ni  0.2418  0.2418  0.9876
Ni  0.4348  0.9577  0.1609
Ni  0.5000  0.0000  0.5000
Ni  0.5000  0.5000  0.0000
Ni  0.5652  0.0423  0.8391
Ni  0.7582  0.7582  0.0124
Ni  0.7599  0.2401  0.5000
Ni  0.9491  0.9491  0.6788
Ni  0.9577  0.4348  0.1609

Largest 10 diffraction maxima, by intensity, 2θ = 5–70°:
- 45.02 deg, I 100
- 45.73 deg, I 66
- 45.94 deg, I 33
- 44.87 deg, I 12
- 66.30 deg, I 12
- 40.53 deg, I 9
- 66.16 deg, I 9
- 65.88 deg, I 6
- 36.10 deg, I 6
- 39.16 deg, I 6

=====

# 8
Structure and computed X-ray diffraction stick pattern of K3Ir (the PBE geometry in the Materials Project; Cu Kα (weighted mean of Kα1 and Kα2)).
Intensities are scaled so that the largest is 100.

Structure:
Cell lengths 5.5004, 5.5004, 8.4363 Å; angles 90.00, 90.00, 90.00 degrees
Sites, in units of the cell vectors:
K  0.0000  0.0000  0.0000
K  0.0000  0.5000  0.2500
K  0.0000  0.5000  0.7500
K  0.5000  0.0000  0.2500
K  0.5000  0.0000  0.7500
K  0.5000  0.5000  0.5000
Ir  0.0000  0.0000  0.5000
Ir  0.5000  0.5000  0.0000

Largest 10 diffraction maxima, by intensity, 2θ = 5–70°:
- 31.28 deg, I 100
- 19.26 deg, I 71
- 32.56 deg, I 45
- 57.29 deg, I 34
- 38.11 deg, I 27
- 22.86 deg, I 24
- 49.19 deg, I 20
- 54.86 deg, I 19
- 46.71 deg, I 16
- 35.86 deg, I 16